(1)
Calculated powder diffractogram
Compound: NdNb3O9
Radiation: Cu Kα (λ = 1.5418 Å)
Structure: a cell relaxed with PBE
No peak broadening, texture or thermal motion is included.

Main lines, low angle first (2θ from 10° to 80°):
index  Position (°2θ)  I/Imax
0 1 -1  11.13  522
-1 1 2  22.35  367
1 -3 0  31.81  515
1 -1 4  31.99  1000
-2 2 4  45.61  382
2 -4 4  56.78  362

Cell and atoms:
abc: 5.5908 9.7322 13.7388
angles: 90.22 90.53 90.32
Atoms (fractional coordinates):
Nd: 0.2391 0.4230 0.4227
Nd: 0.2468 0.0831 0.0808
Nd: 0.7532 0.9169 0.9192
Nd: 0.7609 0.5770 0.5773
Nb: 0.2476 0.0807 0.8248
Nb: 0.2479 0.4123 0.6759
Nb: 0.2476 0.7376 0.0014
Nb: 0.2499 0.7650 0.4957
Nb: 0.2516 0.0898 0.3340
Nb: 0.2561 0.4216 0.1655
Nb: 0.7439 0.5784 0.8345
Nb: 0.7484 0.9102 0.6660
Nb: 0.7501 0.2350 0.5043
Nb: 0.7524 0.2624 0.9986
Nb: 0.7521 0.5877 0.3241
Nb: 0.7524 0.9193 0.1752
O: 0.0006 0.3178 0.5916
O: 0.0008 0.3489 0.0746
O: 0.0020 0.8473 0.0745
O: 0.0022 0.9780 0.2594
O: 0.0060 0.1814 0.4140
O: 0.0079 0.4871 0.2597
O: 0.1882 0.5648 0.5646
O: 0.1956 0.9114 0.9084
O: 0.2151 0.2291 0.2322
O: 0.2881 0.2660 0.7650
O: 0.2909 0.5933 0.0968
O: 0.2931 0.9289 0.4262
O: 0.4837 0.0041 0.2382
O: 0.4841 0.3140 0.0848
O: 0.4854 0.4680 0.2727
O: 0.4870 0.2065 0.4046
O: 0.4983 0.8752 0.0607
O: 0.5003 0.3603 0.5704
O: 0.4997 0.6397 0.4296
O: 0.5017 0.1248 0.9393
O: 0.5130 0.7935 0.5954
O: 0.5146 0.5320 0.7273
O: 0.5159 0.6860 0.9152
O: 0.5163 0.9959 0.7618
O: 0.7069 0.0711 0.5738
O: 0.7091 0.4067 0.9032
O: 0.7119 0.7340 0.2350
O: 0.7849 0.7709 0.7678
O: 0.8044 0.0886 0.0916
O: 0.8118 0.4352 0.4354
O: 0.9921 0.5129 0.7403
O: 0.9940 0.8186 0.5860
O: 0.9978 0.0220 0.7406
O: 0.9980 0.1527 0.9255
O: 0.9992 0.6511 0.9254
O: 0.9994 0.6822 0.4084

(2)
Calculated powder diffractogram
Compound: NdNb3O9
Radiation: Cu Kα (λ = 1.5418 Å)
Structure: a cell relaxed with PBE
No peak broadening, texture or thermal motion is included.

Main lines, low angle first (2θ from 10° to 80°):
index  Position (°2θ)  I/Imax
0 0 2  10.62  570
1 0 -4  26.53  1000
1 0 4  27.46  857
1 2 0  28.39  658
1 2 2  30.60  825
2 0 0  33.05  544

Cell and atoms:
abc: 5.4244 7.7195 16.6662
angles: 90.00 92.01 90.00
Atoms (fractional coordinates):
Nd: 0.0344 0.2500 0.4679
Nd: 0.0344 0.2500 0.9679
Nd: 0.9656 0.7500 0.0321
Nd: 0.9656 0.7500 0.5321
Nb: 0.0082 0.0290 0.2487
Nb: 0.0082 0.4710 0.7487
Nb: 0.4722 0.0167 0.5993
Nb: 0.4722 0.4833 0.0993
Nb: 0.4792 0.5011 0.5997
Nb: 0.4792 0.9989 0.0997
Nb: 0.5208 0.0011 0.9003
Nb: 0.5208 0.4989 0.4003
Nb: 0.5278 0.5167 0.9007
Nb: 0.5278 0.9833 0.4007
Nb: 0.9918 0.5290 0.2513
Nb: 0.9918 0.9710 0.7513
O: 0.0961 0.2446 0.7409
O: 0.0961 0.2554 0.2409
O: 0.1505 0.5549 0.6434
O: 0.1505 0.9451 0.1434
O: 0.1541 0.5624 0.1432
O: 0.1541 0.9376 0.6432
O: 0.2611 0.5374 0.4833
O: 0.2611 0.9626 0.9833
O: 0.2617 0.5360 0.9833
O: 0.2617 0.9640 0.4833
O: 0.3171 0.5484 0.8115
O: 0.3171 0.9516 0.3115
O: 0.3203 0.5533 0.3106
O: 0.3203 0.9467 0.8106
O: 0.3509 0.2489 0.0801
O: 0.3509 0.2511 0.5801
O: 0.4362 0.2491 0.9056
O: 0.4362 0.2509 0.4056
O: 0.5638 0.7491 0.5944
O: 0.5638 0.7509 0.0944
O: 0.6491 0.7489 0.4199
O: 0.6491 0.7511 0.9199
O: 0.6797 0.0533 0.1894
O: 0.6797 0.4467 0.6894
O: 0.6829 0.0484 0.6885
O: 0.6829 0.4516 0.1885
O: 0.7383 0.0360 0.5167
O: 0.7383 0.4640 0.0167
O: 0.7389 0.0374 0.0167
O: 0.7389 0.4626 0.5167
O: 0.8459 0.0624 0.3568
O: 0.8459 0.4376 0.8568
O: 0.8495 0.0549 0.8566
O: 0.8495 0.4451 0.3566
O: 0.9039 0.7446 0.7591
O: 0.9039 0.7554 0.2591